Diffraction record for LiNpBrCl4. The powder diffractogram is computed, not measured: it uses a structure optimized by DFT (GGA-PBE) and Cu Ka.
Lines closer than 0.1° are merged.

Structure:
Cell lengths 7.269, 7.269, 11.304 Å; angles 113.44, 113.44, 74.57 degrees
Fractional coordinates of all 14 atoms:
Li 0.187 0.187 0.326
Li 0.813 0.813 0.674
Np 0.457 0.457 0.790
Np 0.543 0.543 0.210
Br 0.316 0.316 0.938
Br 0.684 0.684 0.062
Cl 0.168 0.754 0.798
Cl 0.235 0.235 0.560
Cl 0.246 0.832 0.202
Cl 0.388 0.388 0.311
Cl 0.612 0.612 0.689
Cl 0.754 0.168 0.798
Cl 0.765 0.765 0.440
Cl 0.832 0.246 0.202

Most intense lines, 10 to 90 degrees two-theta, in order of falling intensity:
- d = 6.607 Å, intensity 100
- d = 4.403 Å, intensity 25
- d = 3.090 Å, intensity 18
- d = 2.817 Å, intensity 16
- d = 3.431 Å, intensity 16
- d = 2.859 Å, intensity 16
- d = 5.783 Å, intensity 16
- d = 2.204 Å, intensity 13
- d = 4.895 Å, intensity 13
- d = 2.763 Å, intensity 11